(1)
This entry pairs a crystal structure of CoNiRh2 with its theoretical X-ray powder pattern. Radiation: a wavelength of 1.5418 Å. Structure: a structure optimized by DFT (GGA-PBE).
Neutral-atom scattering factors, no anomalous dispersion.

Cell and atoms:
abc: 2.653 3.678 5.253
angles: 90.00 90.00 90.00
Positions (direct):
Co 0.000 0.000 0.000
Ni 0.500 0.500 0.234
Rh 0.000 0.000 0.481
Rh 0.500 0.500 0.752

The 10 most intense peaks (15° ≤ 2θ ≤ 90°), low angle first:
- 2θ 29.65, I 12.3
- 2θ 41.99, I 100.0
- 2θ 42.28, I 96.5
- 2θ 48.79, I 62.8
- 2θ 49.57, I 30.4
- 2θ 72.10, I 37.0
- 2θ 86.31, I 22.9
- 2θ 86.91, I 21.6
- 2θ 87.69, I 11.2
- 2θ 87.88, I 11.0

=====

(2)
This entry pairs a crystal structure of Co2NiRu with its theoretical X-ray powder pattern. Radiation: a wavelength of 1.5418 Å. Structure: a structure optimized by DFT (GGA-PBE).
Neutral-atom scattering factors, no anomalous dispersion.

Cell and atoms:
abc: 4.413 4.413 4.442
angles: 99.10 99.10 33.44
Positions (direct):
Co 0.249 0.249 0.243
Co 0.751 0.751 0.757
Ni 0.500 0.500 0.000
Ru 0.000 0.000 0.500

The 10 most intense peaks (15° ≤ 2θ ≤ 90°), low angle first:
- 2θ 20.27, I 2.4
- 2θ 21.32, I 3.7
- 2θ 26.98, I 1.9
- 2θ 43.43, I 100.0
- 2θ 50.14, I 16.0
- 2θ 50.80, I 30.9
- 2θ 74.16, I 18.5
- 2θ 74.60, I 4.6
- 2θ 74.77, I 4.5
- 2θ 89.53, I 11.3

=====

(3)
This entry pairs a crystal structure of TaCoNiRu with its theoretical X-ray powder pattern. Radiation: a wavelength of 1.5418 Å. Structure: a structure optimized by DFT (GGA-PBE).
Neutral-atom scattering factors, no anomalous dispersion.

Cell and atoms:
abc: 3.718 3.765 3.774
angles: 90.00 90.00 90.00
Positions (direct):
Ta 0.000 0.000 0.000
Co 0.500 0.000 0.500
Ni 0.000 0.500 0.500
Ru 0.500 0.500 0.000

The 10 most intense peaks (15° ≤ 2θ ≤ 90°), low angle first:
- 2θ 23.58, I 18.9
- 2θ 33.88, I 15.3
- 2θ 41.69, I 100.0
- 2θ 48.22, I 16.3
- 2θ 48.35, I 16.2
- 2θ 48.99, I 15.5
- 2θ 70.68, I 10.1
- 2θ 85.45, I 12.1
- 2θ 85.65, I 12.1
- 2θ 86.62, I 11.8

=====

(4)
This entry pairs a crystal structure of CoNi5S8 with its theoretical X-ray powder pattern. Radiation: a wavelength of 1.5418 Å. Structure: a structure optimized by DFT (GGA-PBE).
Neutral-atom scattering factors, no anomalous dispersion.

Cell and atoms:
abc: 6.660 6.660 6.660
angles: 60.00 60.00 60.00
Positions (direct):
Co 0.000 0.000 0.000
Ni 0.375 0.375 0.375
Ni 0.375 0.375 0.875
Ni 0.375 0.875 0.375
Ni 0.750 0.750 0.750
Ni 0.875 0.375 0.375
S 0.132 0.132 0.132
S 0.132 0.132 0.605
S 0.132 0.605 0.132
S 0.150 0.617 0.617
S 0.605 0.132 0.132
S 0.617 0.150 0.617
S 0.617 0.617 0.150
S 0.617 0.617 0.617

The 10 most intense peaks (15° ≤ 2θ ≤ 90°), low angle first:
- 2θ 16.30, I 13.4
- 2θ 26.77, I 28.2
- 2θ 31.50, I 100.0
- 2θ 38.22, I 47.9
- 2θ 47.28, I 10.5
- 2θ 50.34, I 42.6
- 2θ 55.16, I 81.6
- 2θ 64.92, I 11.1
- 2θ 77.91, I 16.8
- 2θ 81.81, I 12.0